# 1
This entry pairs a crystal structure of HPbSe2 with its calculated powder X-ray diffraction pattern. Radiation: Cu Kα (λ = 1.5418 Å). Structure: a cell relaxed with PBE.
Peak positions follow from Bragg's law for the DFT cell and can differ from measured ones.

Atomic structure:
a = 4.538 Å, b = 6.397 Å, c = 7.823 Å
α = 101.33°, β = 97.13°, γ = 104.63°
Space group P-1 (No. 2)
Symmetry-distinct sites (fractional):
H  0.161  0.328  0.304 x2
Pb  0.296  0.827  0.172 x2
Se  0.129  0.190  0.581 x2
Se  0.281  0.361  0.137 x2

Largest 6 diffraction maxima, by intensity, 2θ = 10–90°:
2θ 28.4, I = 100, hkl 1 0 -2
2θ 25.6, I = 89, hkl 1 0 1
2θ 16.5, I = 75, hkl 0 1 -1
2θ 29.3, I = 46, hkl 0 2 -1
2θ 37.2, I = 39, hkl 1 -2 2
2θ 11.7, I = 36, hkl 0 0 1

***

# 2
This entry pairs a crystal structure of Ti4SnHPb with its calculated powder X-ray diffraction pattern. Radiation: Cu Kα (λ = 1.5418 Å). Structure: a cell relaxed with PBE.
Peak positions follow from Bragg's law for the DFT cell and can differ from measured ones.

Atomic structure:
a = 5.619 Å, b = 14.988 Å, c = 5.620 Å
α = 90.00°, β = 90.00°, γ = 90.00°
Space group Cmcm (No. 63)
Symmetry-distinct sites (fractional):
Ti  0.000  0.078  0.250 x4
Ti  0.000  0.415  0.250 x4
Ti  0.250  0.250  0.000 x8
Sn  0.000  0.109  0.750 x4
H  0.000  0.282  0.250 x4
Pb  0.000  0.394  0.750 x4

Largest 6 diffraction maxima, by intensity, 2θ = 10–90°:
2θ 40.1, I = 100, hkl 2 4 0
2θ 31.8, I = 54, hkl 2 0 0
2θ 28.7, I = 53, hkl 1 3 1
2θ 23.2, I = 51, hkl 1 1 1
2θ 45.7, I = 49, hkl 2 0 2
2θ 34.1, I = 39, hkl 2 2 0

***

# 3
This entry pairs a crystal structure of Tl2SnHPb with its calculated powder X-ray diffraction pattern. Radiation: Cu Kα (λ = 1.5418 Å). Structure: a cell relaxed with PBE.
Peak positions follow from Bragg's law for the DFT cell and can differ from measured ones.

Atomic structure:
a = 5.058 Å, b = 5.058 Å, c = 4.857 Å
α = 90.00°, β = 90.00°, γ = 90.00°
Space group P4/mmm (No. 123)
Symmetry-distinct sites (fractional):
Tl  0.000  0.500  0.000 x2
Sn  0.000  0.000  0.500 x1
H  0.000  0.000  0.000 x1
Pb  0.500  0.500  0.500 x1

Largest 6 diffraction maxima, by intensity, 2θ = 10–90°:
2θ 31.1, I = 100, hkl 1 1 1
2θ 35.5, I = 36, hkl 2 0 0
2θ 61.0, I = 30, hkl 3 1 1
2θ 52.2, I = 24, hkl 2 0 2
2θ 37.0, I = 16, hkl 0 0 2
2θ 63.0, I = 14, hkl 1 1 3

***

# 4
This entry pairs a crystal structure of Ta2H2Pb with its calculated powder X-ray diffraction pattern. Radiation: Cu Kα (λ = 1.5418 Å). Structure: a cell relaxed with PBE.
Peak positions follow from Bragg's law for the DFT cell and can differ from measured ones.

Atomic structure:
a = 3.679 Å, b = 3.679 Å, c = 9.703 Å
α = 90.00°, β = 90.00°, γ = 90.00°
Space group I4/mmm (No. 139)
Symmetry-distinct sites (fractional):
Ta  0.000  0.000  0.170 x4
H  0.000  0.500  0.250 x4
Pb  0.000  0.000  0.500 x2

Largest 6 diffraction maxima, by intensity, 2θ = 10–90°:
2θ 37.0, I = 100, hkl 1 0 3
2θ 34.5, I = 60, hkl 1 1 0
2θ 63.4, I = 43, hkl 2 1 3
2θ 49.6, I = 22, hkl 2 0 0
2θ 68.3, I = 17, hkl 1 1 6
2θ 78.8, I = 11, hkl 2 0 6

***

# 5
This entry pairs a crystal structure of Tb5H2Pb5 with its calculated powder X-ray diffraction pattern. Radiation: Cu Kα (λ = 1.5418 Å). Structure: a cell relaxed with PBE.
Peak positions follow from Bragg's law for the DFT cell and can differ from measured ones.

Atomic structure:
a = 11.521 Å, b = 4.432 Å, c = 11.619 Å
α = 90.00°, β = 92.83°, γ = 90.00°
Space group C2/m (No. 12)
Symmetry-distinct sites (fractional):
Tb  0.000  0.000  0.000 x2
Tb  0.066  0.000  0.316 x4
Tb  0.150  0.500  0.814 x4
H  0.075  0.000  0.825 x4
Pb  0.000  0.500  0.500 x2
Pb  0.150  0.500  0.121 x4
Pb  0.222  0.000  0.611 x4

Largest 6 diffraction maxima, by intensity, 2θ = 10–90°:
2θ 32.0, I = 100, hkl 1 1 3
2θ 31.5, I = 66, hkl 3 1 -1
2θ 33.9, I = 30, hkl 2 0 -4
2θ 40.7, I = 29, hkl 0 2 0
2θ 34.0, I = 27, hkl 3 1 -2
2θ 32.4, I = 19, hkl 4 0 1

***

# 6
This entry pairs a crystal structure of Ti8H2Pb3 with its calculated powder X-ray diffraction pattern. Radiation: Cu Kα (λ = 1.5418 Å). Structure: a cell relaxed with PBE.
Peak positions follow from Bragg's law for the DFT cell and can differ from measured ones.

Atomic structure:
a = 5.6570 Å, b = 5.6570 Å, c = 23.6742 Å
α = 90.00°, β = 90.00°, γ = 120.00°
Space group R-3m (No. 166, hexagonal axes)
Symmetry-distinct sites (fractional):
Ti  0.0000  0.0000  0.1797 x6
Ti  0.0094  0.5047  0.7319 x18
H  0.0000  0.0000  0.1037 x6
Pb  0.0000  0.0000  0.2988 x6
Pb  0.0000  0.0000  0.5000 x3

Largest 6 diffraction maxima, by intensity, 2θ = 10–90°:
2θ 26.2, I = 100, hkl 0 1 5
2θ 31.6, I = 97, hkl 1 1 0
2θ 39.2, I = 63, hkl 1 1 6
2θ 18.5, I = 61, hkl 1 0 1
2θ 41.5, I = 59, hkl 2 0 5
2θ 42.4, I = 52, hkl 1 0 10

***

# 7
This entry pairs a crystal structure of Ti3HPb with its calculated powder X-ray diffraction pattern. Radiation: Cu Kα (λ = 1.5418 Å). Structure: a cell relaxed with PBE.
Peak positions follow from Bragg's law for the DFT cell and can differ from measured ones.

Atomic structure:
a = 9.965 Å, b = 6.232 Å, c = 4.860 Å
α = 90.00°, β = 93.51°, γ = 90.00°
Space group C2 (No. 5)
Symmetry-distinct sites (fractional):
Ti  0.095  0.000  0.229 x4
Ti  0.095  0.479  0.231 x4
Ti  0.140  0.737  0.739 x4
H  0.000  0.740  0.000 x2
H  0.000  0.853  0.500 x2
Pb  0.165  0.241  0.737 x4

Largest 6 diffraction maxima, by intensity, 2θ = 10–90°:
2θ 38.3, I = 100, hkl 2 2 -1
2θ 39.4, I = 98, hkl 2 2 1
2θ 37.1, I = 67, hkl 0 0 2
2θ 24.5, I = 64, hkl 1 1 -1
2θ 30.5, I = 53, hkl 3 1 0
2θ 25.3, I = 50, hkl 1 1 1

***

# 8
This entry pairs a crystal structure of Ti4HPb with its calculated powder X-ray diffraction pattern. Radiation: Cu Kα (λ = 1.5418 Å). Structure: a cell relaxed with PBE.
Peak positions follow from Bragg's law for the DFT cell and can differ from measured ones.

Atomic structure:
a = 4.587 Å, b = 5.742 Å, c = 7.351 Å
α = 90.00°, β = 108.19°, γ = 90.00°
Space group P2_1 (No. 4)
Symmetry-distinct sites (fractional):
Ti  0.000  0.000  0.000 x2
Ti  0.198  0.496  0.396 x2
Ti  0.199  0.998  0.397 x2
Ti  0.393  0.749  0.786 x2
H  0.098  0.248  0.197 x2
Pb  0.395  0.249  0.790 x2

Largest 6 diffraction maxima, by intensity, 2θ = 10–90°:
2θ 37.5, I = 100, hkl 1 2 0
2θ 37.7, I = 98, hkl 1 0 2
2θ 20.0, I = 67, hkl 0 1 1
2θ 40.7, I = 46, hkl 0 2 2
2θ 39.3, I = 45, hkl 2 0 -1
2θ 31.5, I = 45, hkl 1 1 1

***

# 9
This entry pairs a crystal structure of Tl7H12Pb with its calculated powder X-ray diffraction pattern. Radiation: Cu Kα (λ = 1.5418 Å). Structure: a cell relaxed with PBE.
Peak positions follow from Bragg's law for the DFT cell and can differ from measured ones.

Atomic structure:
a = 6.600 Å, b = 8.327 Å, c = 8.328 Å
α = 113.26°, β = 105.30°, γ = 105.34°
Space group P1 (No. 1)
Symmetry-distinct sites (fractional):
Tl  0.000  0.000  0.000 x1
Tl  0.050  0.411  0.349 x1
Tl  0.177  0.880  0.644 x1
Tl  0.345  0.175  0.469 x1
Tl  0.528  0.712  0.175 x1
Tl  0.707  0.238  0.881 x1
Tl  0.878  0.532  0.707 x1
H  0.176  0.359  0.858 x1
H  0.259  0.317  0.826 x1
H  0.408  0.666  0.780 x1
H  0.443  0.359  0.214 x1
H  0.490  0.034  0.148 x1
H  0.523  0.735  0.522 x1
H  0.532  0.675  0.822 x1
H  0.558  0.392  0.206 x1
H  0.604  0.066  0.137 x1
H  0.647  0.744  0.564 x1
H  0.804  0.100  0.533 x1
H  0.886  0.058  0.501 x1
Pb  0.026  0.706  0.175 x1

Largest 6 diffraction maxima, by intensity, 2θ = 10–90°:
2θ 34.1, I = 100, hkl 0 1 2
2θ 15.3, I = 63, hkl 1 0 -1
2θ 20.0, I = 45, hkl 1 1 -1
2θ 33.5, I = 42, hkl -2 2 1
2θ 30.0, I = 39, hkl 1 2 -1
2θ 28.0, I = 33, hkl -2 1 1

***

# 10
This entry pairs a crystal structure of Tm5HPb5 with its calculated powder X-ray diffraction pattern. Radiation: Cu Kα (λ = 1.5418 Å). Structure: a cell relaxed with PBE.
Peak positions follow from Bragg's law for the DFT cell and can differ from measured ones.

Atomic structure:
a = 17.061 Å, b = 4.790 Å, c = 7.635 Å
α = 90.00°, β = 101.96°, γ = 90.00°
Space group C2/m (No. 12)
Symmetry-distinct sites (fractional):
Tm  0.000  0.000  0.000 x2
Tm  0.148  0.500  0.112 x4
Tm  0.196  0.500  0.627 x4
H  0.000  0.500  0.000 x2
Pb  0.000  0.500  0.500 x2
Pb  0.120  0.000  0.368 x4
Pb  0.161  0.000  0.863 x4

Largest 6 diffraction maxima, by intensity, 2θ = 10–90°:
2θ 29.9, I = 100, hkl 1 1 -2
2θ 32.9, I = 68, hkl 5 1 -1
2θ 31.7, I = 57, hkl 1 1 2
2θ 37.6, I = 54, hkl 0 2 0
2θ 36.8, I = 33, hkl 6 0 1
2θ 37.3, I = 30, hkl 5 1 -2

***

# 11
This entry pairs a crystal structure of Tm3HPb3 with its calculated powder X-ray diffraction pattern. Radiation: Cu Kα (λ = 1.5418 Å). Structure: a cell relaxed with PBE.
Peak positions follow from Bragg's law for the DFT cell and can differ from measured ones.

Atomic structure:
a = 8.169 Å, b = 10.106 Å, c = 8.434 Å
α = 90.00°, β = 99.65°, γ = 90.00°
Space group C2/m (No. 12)
Symmetry-distinct sites (fractional):
Tm  0.139  0.000  0.371 x4
Tm  0.243  0.322  0.241 x8
H  0.135  0.000  0.634 x4
Pb  0.000  0.158  0.000 x4
Pb  0.000  0.316  0.500 x4
Pb  0.134  0.500  0.895 x4

Largest 6 diffraction maxima, by intensity, 2θ = 10–90°:
2θ 31.4, I = 100, hkl 1 3 1
2θ 33.4, I = 45, hkl 2 2 -2
2θ 33.5, I = 43, hkl 2 0 2
2θ 33.6, I = 35, hkl 1 1 -3
2θ 34.5, I = 33, hkl 3 1 -1
2θ 47.3, I = 16, hkl 0 2 4

***

# 12
This entry pairs a crystal structure of Tm6HPb2 with its calculated powder X-ray diffraction pattern. Radiation: Cu Kα (λ = 1.5418 Å). Structure: a cell relaxed with PBE.
Peak positions follow from Bragg's law for the DFT cell and can differ from measured ones.

Atomic structure:
a = 6.545 Å, b = 6.508 Å, c = 12.552 Å
α = 90.00°, β = 120.74°, γ = 90.00°
Space group P2_1/c (No. 14)
Symmetry-distinct sites (fractional):
Tm  0.154  0.190  0.484 x4
Tm  0.315  0.688  0.485 x4
Tm  0.342  0.543  0.752 x4
H  0.000  0.000  0.000 x2
Pb  0.173  0.083  0.749 x4

Largest 6 diffraction maxima, by intensity, 2θ = 10–90°:
2θ 32.1, I = 100, hkl 0 2 2
2θ 33.2, I = 71, hkl 0 0 4
2θ 31.8, I = 54, hkl 2 0 0
2θ 35.1, I = 53, hkl 2 1 -4
2θ 34.7, I = 40, hkl 2 1 0
2θ 31.6, I = 35, hkl 2 1 -1

***

# 13
This entry pairs a crystal structure of Y2H3Pb with its calculated powder X-ray diffraction pattern. Radiation: Cu Kα (λ = 1.5418 Å). Structure: a cell relaxed with PBE.
Peak positions follow from Bragg's law for the DFT cell and can differ from measured ones.

Atomic structure:
a = 14.566 Å, b = 3.700 Å, c = 7.673 Å
α = 90.00°, β = 112.23°, γ = 90.00°
Space group C2/m (No. 12)
Symmetry-distinct sites (fractional):
Y  0.028  0.000  0.272 x4
Y  0.193  0.500  0.656 x4
H  0.065  0.500  0.406 x4
H  0.091  0.000  0.610 x4
H  0.190  0.000  0.466 x4
Pb  0.141  0.500  0.035 x4

Largest 6 diffraction maxima, by intensity, 2θ = 10–90°:
2θ 31.3, I = 100, hkl 3 1 0
2θ 33.8, I = 83, hkl 1 1 -2
2θ 28.8, I = 76, hkl 4 0 -2
2θ 12.5, I = 59, hkl 0 0 1
2θ 33.5, I = 36, hkl 4 0 1
2θ 29.1, I = 31, hkl 1 1 1